Structure and simulated powder XRD pattern of Li2Ti3FeO8 (the GGA+U geometry in Alexandria; Cu Kα).
Lines closer than 0.1° are merged.

Structural model:
```
Li2Ti3FeO8
1.0
8.466 0.000 0.000
0.000 8.466 0.000
0.000 0.000 8.466
Li Ti Fe O
8 12 4 32
Cartesian
1.067 1.067 1.067 Li
2.098 2.134 6.331 Li
2.134 6.331 2.098 Li
3.166 7.399 5.300 Li
5.300 3.166 7.399 Li
6.331 2.098 2.134 Li
6.367 6.367 6.367 Li
7.399 5.300 3.166 Li
0.987 3.210 3.142 Ti
1.023 5.323 5.220 Ti
1.090 7.479 7.442 Ti
3.142 0.987 3.210 Ti
3.210 3.142 0.987 Ti
3.246 5.256 7.375 Ti
5.220 1.023 5.323 Ti
5.256 7.375 3.246 Ti
5.323 5.220 1.023 Ti
7.375 3.246 5.256 Ti
7.442 1.090 7.479 Ti
7.479 7.442 1.090 Ti
0.006 4.239 8.460 Fe
4.227 4.227 4.227 Fe
4.239 8.460 0.006 Fe
8.460 0.006 4.239 Fe
0.892 7.393 0.921 O
0.921 0.892 7.393 O
0.941 3.291 5.174 O
1.036 7.254 5.419 O
1.073 5.154 3.341 O
1.156 5.389 7.309 O
1.187 3.197 1.211 O
1.211 1.187 3.197 O
3.022 7.279 7.429 O
3.046 5.269 5.444 O
3.076 3.076 3.076 O
3.160 3.311 7.573 O
3.197 1.211 1.187 O
3.291 5.174 0.941 O
3.311 7.573 3.160 O
3.341 1.073 5.154 O
5.125 5.305 7.544 O
5.154 3.341 1.073 O
5.174 0.941 3.291 O
5.269 5.444 3.046 O
5.305 7.544 5.125 O
5.389 7.309 1.156 O
5.419 1.036 7.254 O
5.444 3.046 5.269 O
7.254 5.419 1.036 O
7.279 7.429 3.022 O
7.309 1.156 5.389 O
7.393 0.921 0.892 O
7.429 3.022 7.279 O
7.524 7.524 7.524 O
7.544 5.125 5.305 O
7.573 3.160 3.311 O
```

Most intense lines, 2θ from 10° to 90°, by angle:
| two_theta | I/Imax |
| --- | --- |
| 14.80 | 15 |
| 18.15 | 41 |
| 20.99 | 25 |
| 23.50 | 22 |
| 29.85 | 24 |
| 35.16 | 100 |
| 42.72 | 39 |
| 56.48 | 41 |
| 62.01 | 55 |
| 88.77 | 15 |